Diffraction record for Y7Er3. The X-ray diffraction stick pattern is simulated, not measured: it uses DFT lattice parameters and positions (PBE) and CuKα.

Largest 10 diffraction maxima, sorted by position, 10° ≤ 2θ ≤ 90°:
2θ = 30.7°, I 83, (1 2 1); 2θ = 31.5°, I 100, (1 0 5); 2θ = 32.9°, I 46, (2 0 0); 2θ = 33.3°, I 39, (0 2 4); 2θ = 34.4°, I 14, (1 2 3); 2θ = 41.4°, I 16, (0 2 6); 2θ = 47.5°, I 28, (2 2 4); 2θ = 57.9°, I 17, (3 0 5); 2θ = 58.8°, I 16, (1 2 9); 2θ = 62.0°, I 33, (1 4 5)

Cell and atoms:
Cell lengths 5.442, 7.045, 16.674 Å; angles 90.00, 90.00, 90.00 degrees
Space group Immm (No. 71)
One atom of each set of equivalent atoms:
Y 0.000 0.000 0.000 (multiplicity 2)
Y 0.000 0.250 0.390 (multiplicity 8)
Y 0.000 0.500 0.200 (multiplicity 4)
Er 0.000 0.000 0.200 (multiplicity 4)
Er 0.000 0.500 0.000 (multiplicity 2)

=====

Diffraction record for AcCeEr2. The X-ray diffraction stick pattern is simulated, not measured: it uses DFT lattice parameters and positions (PBE) and CuKα.

Largest 10 diffraction maxima, sorted by position, 10° ≤ 2θ ≤ 90°:
2θ = 18.8°, I 3, (1 1 1); 2θ = 30.9°, I 100, (2 2 0); 2θ = 36.4°, I 2, (3 1 1); 2θ = 44.2°, I 19, (4 0 0); 2θ = 48.4°, I 1, (3 3 1); 2θ = 54.9°, I 40, (4 2 2); 2θ = 64.3°, I 12, (4 4 0); 2θ = 73.0°, I 17, (6 2 0); 2θ = 81.3°, I 4, (4 4 4); 2θ = 89.5°, I 21, (6 4 2)

Cell and atoms:
Cell lengths 8.197, 8.197, 8.197 Å; angles 90.00, 90.00, 90.00 degrees
Space group Fm-3m (No. 225)
One atom of each set of equivalent atoms:
Ac 0.000 0.000 0.000 (multiplicity 4)
Ce 0.000 0.000 0.500 (multiplicity 4)
Er 0.250 0.250 0.250 (multiplicity 8)

=====

Diffraction record for Nd3ThN3. The X-ray diffraction stick pattern is simulated, not measured: it uses DFT lattice parameters and positions (PBE) and CuKα.

Largest 10 diffraction maxima, sorted by position, 10° ≤ 2θ ≤ 90°:
2θ = 25.0°, I 35, (2 2 0); 2θ = 30.1°, I 100, (0 4 1); 2θ = 33.2°, I 22, (0 0 2); 2θ = 42.1°, I 17, (2 2 2); 2θ = 44.1°, I 30, (4 0 0); 2θ = 54.3°, I 20, (4 4 1); 2θ = 56.3°, I 29, (4 0 2); 2θ = 57.4°, I 17, (0 4 3); 2θ = 72.5°, I 17, (2 10 1); 2θ = 86.3°, I 9, (4 0 4)

Cell and atoms:
Cell lengths 8.213, 14.228, 5.392 Å; angles 90.00, 90.00, 90.00 degrees
Space group Cmcm (No. 63)
One atom of each set of equivalent atoms:
Nd 0.000 0.166 0.250 (multiplicity 4)
Nd 0.250 0.083 0.750 (multiplicity 8)
Th 0.000 0.333 0.750 (multiplicity 4)
N 0.000 0.167 0.750 (multiplicity 4)
N 0.248 0.416 0.750 (multiplicity 8)

=====

Diffraction record for Nd2Y3Tm7. The X-ray diffraction stick pattern is simulated, not measured: it uses DFT lattice parameters and positions (PBE) and CuKα.

Largest 10 diffraction maxima, sorted by position, 10° ≤ 2θ ≤ 90°:
2θ = 29.9°, I 58, (1 1 1); 2θ = 31.0°, I 86, (2 0 -3); 2θ = 31.1°, I 95, (0 0 6); 2θ = 31.5°, I 100, (1 1 2); 2θ = 34.0°, I 63, (2 0 3); 2θ = 35.1°, I 72, (1 1 -4); 2θ = 38.3°, I 29, (1 1 -5); 2θ = 50.6°, I 34, (3 1 -1); 2θ = 53.3°, I 41, (2 0 -9); 2θ = 60.3°, I 33, (3 1 5)

Cell and atoms:
Cell lengths 6.305, 3.505, 17.343 Å; angles 90.00, 96.19, 90.00 degrees
Space group P2/m (No. 10)
One atom of each set of equivalent atoms:
Nd 0.060 0.000 0.174 (multiplicity 2)
Y 0.451 0.500 0.843 (multiplicity 2)
Y 0.500 0.000 0.500 (multiplicity 1)
Tm 0.000 0.500 0.500 (multiplicity 1)
Tm 0.226 0.000 0.665 (multiplicity 2)
Tm 0.256 0.000 0.999 (multiplicity 2)
Tm 0.274 0.500 0.337 (multiplicity 2)

=====

Diffraction record for Si23Rh3. The X-ray diffraction stick pattern is simulated, not measured: it uses DFT lattice parameters and positions (PBE) and CuKα.

Largest 10 diffraction maxima, sorted by position, 10° ≤ 2θ ≤ 90°:
2θ = 12.4°, I 34, (1 1 0); 2θ = 19.7°, I 34, (2 1 0); 2θ = 28.0°, I 23, (3 1 0); 2θ = 30.7°, I 89, (2 2 2); 2θ = 32.0°, I 88, (3 2 0); 2θ = 33.3°, I 100, (3 2 1); 2θ = 35.6°, I 26, (4 0 0); 2θ = 48.7°, I 21, (5 2 0); 2θ = 53.0°, I 60, (5 3 0); 2θ = 56.3°, I 41, (5 3 2)

Cell and atoms:
Cell lengths 10.078, 10.078, 10.078 Å; angles 90.00, 90.00, 90.00 degrees
Space group Pm-3n (No. 223)
One atom of each set of equivalent atoms:
Si 0.000 0.115 0.312 (multiplicity 24)
Si 0.000 0.250 0.500 (multiplicity 6)
Si 0.184 0.184 0.184 (multiplicity 16)
Rh 0.000 0.500 0.250 (multiplicity 6)

=====

Diffraction record for Li2Mg2Ni15. The X-ray diffraction stick pattern is simulated, not measured: it uses DFT lattice parameters and positions (PBE) and CuKα.

Largest 10 diffraction maxima, sorted by position, 10° ≤ 2θ ≤ 90°:
2θ = 21.7°, I 99, (1 1 0); 2θ = 44.2°, I 30, (2 2 0); 2θ = 44.5°, I 100, (0 3 3); 2θ = 45.3°, I 43, (0 0 6); 2θ = 50.0°, I 96, (2 2 3); 2θ = 50.7°, I 21, (1 1 6); 2θ = 73.2°, I 17, (3 3 3); 2θ = 81.3°, I 18, (6 0 0); 2θ = 83.1°, I 15, (0 3 9); 2θ = 87.1°, I 15, (2 2 9)

Cell and atoms:
Cell lengths 8.1983, 8.1983, 12.0142 Å; angles 90.00, 90.00, 120.00 degrees
Space group R-3m (No. 166, hexagonal axes)
One atom of each set of equivalent atoms:
Li 0.0000 0.0000 0.0988 (multiplicity 6)
Mg 0.0000 0.0000 0.3471 (multiplicity 6)
Ni 0.0000 0.3094 0.0000 (multiplicity 18)
Ni 0.0000 0.5000 0.5000 (multiplicity 9)
Ni 0.0046 0.5023 0.1564 (multiplicity 18)

=====

Diffraction record for TlBrCl. The X-ray diffraction stick pattern is simulated, not measured: it uses DFT lattice parameters and positions (PBE) and CuKα.

Largest 10 diffraction maxima, sorted by position, 10° ≤ 2θ ≤ 90°:
2θ = 13.4°, I 100, (1 0 0); 2θ = 21.8°, I 15, (0 0 2); 2θ = 23.8°, I 27, (0 1 1); 2θ = 25.1°, I 41, (1 0 -2); 2θ = 27.7°, I 77, (1 1 1); 2θ = 34.1°, I 16, (2 0 -2); 2θ = 35.9°, I 37, (2 0 2); 2θ = 36.8°, I 29, (2 1 1); 2θ = 39.5°, I 25, (0 1 3); 2θ = 47.5°, I 27, (3 1 -1)

Cell and atoms:
Cell lengths 6.599, 4.218, 8.150 Å; angles 90.00, 92.97, 90.00 degrees
Space group P2/m (No. 10)
One atom of each set of equivalent atoms:
Tl 0.000 0.000 0.000 (multiplicity 1)
Tl 0.000 0.500 0.500 (multiplicity 1)
Br 0.247 0.000 0.644 (multiplicity 2)
Cl 0.217 0.500 0.248 (multiplicity 2)

=====

Diffraction record for LiMg5Pd6. The X-ray diffraction stick pattern is simulated, not measured: it uses DFT lattice parameters and positions (PBE) and CuKα.

Largest 10 diffraction maxima, sorted by position, 10° ≤ 2θ ≤ 90°:
2θ = 27.7°, I 100, (1 3 -1); 2θ = 29.4°, I 42, (2 0 0); 2θ = 39.6°, I 87, (0 6 0); 2θ = 40.8°, I 80, (1 3 1); 2θ = 40.9°, I 79, (3 3 -1); 2θ = 50.1°, I 28, (2 6 0); 2θ = 57.2°, I 29, (2 6 -2); 2θ = 64.7°, I 17, (3 3 -3); 2θ = 72.5°, I 14, (1 3 -3); 2θ = 72.7°, I 28, (1 9 1)

Cell and atoms:
Cell lengths 7.576, 13.660, 4.558 Å; angles 90.00, 126.77, 90.00 degrees
Space group C2/m (No. 12)
One atom of each set of equivalent atoms:
Li 0.000 0.000 0.000 (multiplicity 2)
Mg 0.000 0.167 0.500 (multiplicity 4)
Mg 0.000 0.334 0.000 (multiplicity 4)
Mg 0.000 0.500 0.500 (multiplicity 2)
Pd 0.246 0.000 0.746 (multiplicity 4)
Pd 0.248 0.166 0.248 (multiplicity 8)